# 1
Starting from a PBE-relaxed structure, the X-ray diffraction stick pattern of InAg4Au4 was computed for Cu Ka.
Neutral-atom scattering factors, no anomalous dispersion.

Structural model:
```
InAg4Au4
1.0
-4.3872 4.3872 2.1469
4.3872 -4.3872 2.1469
4.3872 4.3872 -2.1469
In Ag Au
1 4 4
direct
0.0000 0.0000 0.0000
0.3321 0.3321 0.6642
0.3321 0.6679 0.0000
0.6679 0.3321 0.0000
0.6679 0.6679 0.3358
0.0000 0.3329 0.3329
0.0000 0.6671 0.6671
0.3329 0.0000 0.3329
0.6671 0.0000 0.6671
```

Largest 10 diffraction maxima, low angle first, 2θ = 5–70°:
d (Å)  2θ (°)  intensity
6.204  14.28  7
3.857  23.06  2
3.102  28.78  1
2.897  30.87  5
2.417  37.20  100
2.147  42.09  18
2.068  43.77  32
1.907  47.70  2
1.489  62.34  22
1.462  63.63  10

---

# 2
Starting from a PBE-relaxed structure, the X-ray diffraction stick pattern of GaGeB was computed for Cu Ka.
Neutral-atom scattering factors, no anomalous dispersion.

Structural model:
```
GaGeB
1.0
3.4334 0.0000 0.0000
1.6960 5.5200 0.0000
1.6873 2.3239 5.0866
Ga Ge B
2 2 2
direct
0.2217 0.3714 0.1873
0.7783 0.6286 0.8127
0.4309 0.8881 0.2513
0.5691 0.1119 0.7487
0.0275 0.3393 0.6054
0.9725 0.6607 0.3946
```

Largest 10 diffraction maxima, low angle first, 2θ = 5–70°:
d (Å)  2θ (°)  intensity
3.223  27.68  27
2.981  29.98  100
2.750  32.56  80
2.543  35.29  52
2.528  35.51  31
2.514  35.71  34
2.192  41.19  35
1.952  46.52  28
1.836  49.66  24
1.717  53.37  24